(1)
Simulated powder diffraction line list
Compound: Na2ZnH4O4
Radiation: Cu Kα (λ = 1.5418 Å)
Structure: a crystal structure in Alexandria, relaxed with GGA-PBE

Main lines, in order of rising 2θ (2θ = 5–70°):
2θ (°), intensity, hkl
14.3, 23, 1 0 0
19.9, 100, 1 1 0
22.8, 22, 2 0 -2
24.7, 76, 0 1 2
27.8, 27, 0 2 0
34.7, 92, 3 0 -2
35.5, 26, 2 1 -4
37.0, 23, 1 1 -4
47.3, 31, 0 3 2
52.6, 36, 3 2 0

```
data_Na2ZnH4O4
_symmetry_space_group_name_H-M 'P 1 21/c 1'
_symmetry_Int_Tables_number 14
_cell_length_a 7.864
_cell_length_b 6.423
_cell_length_c 11.057
_cell_angle_alpha 90.00
_cell_angle_beta 127.84
_cell_angle_gamma 90.00
loop_
_symmetry_equiv_pos_as_xyz
'x,y,z'
'-x,-y,-z'
'-x,y+1/2,-z+1/2'
'x,-y+1/2,z+1/2'
loop_
_atom_site_label
_atom_site_type_symbol
_atom_site_fract_x
_atom_site_fract_y
_atom_site_fract_z
Na1 Na 0.013 0.070 0.288
Na2 Na 0.477 0.748 0.990
Zn1 Zn 0.190 0.246 0.632
H1 H 0.179 0.014 0.969
H2 H 0.191 0.674 0.043
H3 H 0.286 0.602 0.733
H4 H 0.442 0.540 0.245
O1 O 0.120 0.735 0.941
O2 O 0.198 0.166 0.965
O3 O 0.312 0.526 0.238
O4 O 0.332 0.028 0.292
```


(2)
Simulated powder diffraction line list
Compound: NaZnH9O6
Radiation: Cu Kα (λ = 1.5418 Å)
Structure: a crystal structure in Alexandria, relaxed with GGA-PBE

Main lines, in order of rising 2θ (2θ = 5–70°):
2θ (°), intensity, hkl
7.9, 62, 0 0 1
11.0, 100, 0 1 0
13.0, 33, 0 1 1
15.8, 38, 0 0 2
20.1, 33, 0 1 -2
22.9, 45, 0 2 1
28.1, 47, 1 1 0
29.7, 37, 1 -1 1
33.8, 36, 0 3 1
39.8, 34, 1 2 -2

```
data_NaZnH9O6
_symmetry_space_group_name_H-M 'P -1'
_symmetry_Int_Tables_number 2
_cell_length_a 3.409
_cell_length_b 8.080
_cell_length_c 11.336
_cell_angle_alpha 84.86
_cell_angle_beta 82.46
_cell_angle_gamma 86.42
loop_
_symmetry_equiv_pos_as_xyz
'x,y,z'
'-x,-y,-z'
loop_
_atom_site_label
_atom_site_type_symbol
_atom_site_fract_x
_atom_site_fract_y
_atom_site_fract_z
Na1 Na 0.044 0.207 0.225
Zn1 Zn 0.375 0.585 0.329
H1 H 0.014 0.806 0.440
H2 H 0.122 0.041 0.920
H3 H 0.153 0.614 0.573
H4 H 0.231 0.853 0.135
H5 H 0.260 0.314 0.860
H6 H 0.419 0.669 0.987
H7 H 0.433 0.857 0.565
H8 H 0.446 0.978 0.383
H9 H 0.462 0.544 0.887
O1 O 0.110 0.968 0.121
O2 O 0.115 0.542 0.650
O3 O 0.290 0.766 0.440
O4 O 0.418 0.664 0.901
O5 O 0.461 0.660 0.154
O6 O 0.499 0.097 0.362
```


(3)
Simulated powder diffraction line list
Compound: Na2ZnH2O
Radiation: Cu Kα (λ = 1.5418 Å)
Structure: a crystal structure in Alexandria, relaxed with GGA-PBE

Main lines, in order of rising 2θ (2θ = 5–70°):
2θ (°), intensity, hkl
17.7, 64, 2 0 0
18.0, 20, 1 1 0
23.5, 40, 1 1 1
30.1, 32, 0 0 2
31.7, 23, 0 2 0
34.6, 100, 3 1 1
44.2, 31, 0 2 2
48.0, 17, 2 2 2
56.4, 22, 3 1 3
58.3, 17, 3 3 1

```
data_Na2ZnH2O
_symmetry_space_group_name_H-M 'C m c 21'
_symmetry_Int_Tables_number 36
_cell_length_a 10.040
_cell_length_b 5.651
_cell_length_c 5.944
_cell_angle_alpha 90.00
_cell_angle_beta 90.00
_cell_angle_gamma 90.00
loop_
_symmetry_equiv_pos_as_xyz
'x,y,z'
'-x,-y,z+1/2'
'-x,y,z'
'x,-y,z+1/2'
'x+1/2,y+1/2,z'
'-x+1/2,-y+1/2,z+1/2'
'-x+1/2,y+1/2,z'
'x+1/2,-y+1/2,z+1/2'
loop_
_atom_site_label
_atom_site_type_symbol
_atom_site_fract_x
_atom_site_fract_y
_atom_site_fract_z
Na1 Na 0.144 0.210 0.000
Zn1 Zn 0.000 0.234 0.472
H1 H 0.141 0.389 0.438
O1 O 0.000 0.025 0.737
```


(4)
Simulated powder diffraction line list
Compound: Na2H6Os
Radiation: Cu Kα (λ = 1.5418 Å)
Structure: a crystal structure in Alexandria, relaxed with GGA-PBE

Main lines, in order of rising 2θ (2θ = 5–70°):
2θ (°), intensity, hkl
20.9, 100, 1 1 1
24.1, 29, 2 0 0
34.4, 66, 2 2 0
40.6, 54, 3 1 1
42.4, 8, 2 2 2
49.4, 13, 4 0 0
54.2, 23, 3 3 1
55.7, 13, 4 2 0
61.6, 25, 4 2 2
65.8, 18, 5 1 1

```
data_Na2H6Os
_symmetry_space_group_name_H-M 'F m -3 m'
_symmetry_Int_Tables_number 225
_symmetry_space_group_name_Hall '-F 4 2 3'
_cell_length_a 7.378
_cell_length_b 7.378
_cell_length_c 7.378
_cell_angle_alpha 90.00
_cell_angle_beta 90.00
_cell_angle_gamma 90.00
loop_
_atom_site_label
_atom_site_type_symbol
_atom_site_fract_x
_atom_site_fract_y
_atom_site_fract_z
Na1 Na 0.250 0.250 0.250
H1 H 0.000 0.000 0.234
Os1 Os 0.000 0.000 0.000
```


(5)
Simulated powder diffraction line list
Compound: Na2H7Os
Radiation: Cu Kα (λ = 1.5418 Å)
Structure: a crystal structure in Alexandria, relaxed with GGA-PBE

Main lines, in order of rising 2θ (2θ = 5–70°):
2θ (°), intensity, hkl
18.0, 100, 1 1 0
18.9, 12, 1 1 -1
20.8, 23, 2 0 0
23.8, 29, 2 0 -2
25.0, 31, 0 0 2
26.6, 21, 1 1 -2
29.5, 18, 0 2 0
33.1, 37, 3 1 -2
34.9, 54, 1 1 2
39.1, 14, 0 2 2

```
data_Na2H7Os
_symmetry_space_group_name_H-M 'C 1 2/c 1'
_symmetry_Int_Tables_number 15
_cell_length_a 9.694
_cell_length_b 6.051
_cell_length_c 8.079
_cell_angle_alpha 90.00
_cell_angle_beta 118.23
_cell_angle_gamma 90.00
loop_
_symmetry_equiv_pos_as_xyz
'x,y,z'
'-x,-y,-z'
'-x,y,-z+1/2'
'x,-y,z+1/2'
'x+1/2,y+1/2,z'
'-x+1/2,-y+1/2,-z'
'-x+1/2,y+1/2,-z+1/2'
'x+1/2,-y+1/2,z+1/2'
loop_
_atom_site_label
_atom_site_type_symbol
_atom_site_fract_x
_atom_site_fract_y
_atom_site_fract_z
Na1 Na 0.233 0.002 0.350
H1 H 0.000 0.170 0.750
H2 H 0.003 0.353 0.945
H3 H 0.118 0.331 0.323
H4 H 0.187 0.363 0.853
Os1 Os 0.000 0.445 0.750
```


(6)
Simulated powder diffraction line list
Compound: Na5H12Os2
Radiation: Cu Kα (λ = 1.5418 Å)
Structure: a crystal structure in Alexandria, relaxed with GGA-PBE

Main lines, in order of rising 2θ (2θ = 5–70°):
2θ (°), intensity, hkl
15.8, 100, 0 0 1
22.2, 17, 2 0 0
22.5, 17, 2 0 -2
31.8, 33, 0 0 2
33.2, 43, 0 2 1
35.5, 14, 4 0 -1
36.8, 20, 2 2 0
37.0, 19, 2 2 -2
46.5, 16, 2 2 1
46.8, 15, 4 2 -3

```
data_Na5H12Os2
_symmetry_space_group_name_H-M 'C 1 2/m 1'
_symmetry_Int_Tables_number 12
_cell_length_a 11.239
_cell_length_b 6.164
_cell_length_c 7.902
_cell_angle_alpha 90.00
_cell_angle_beta 134.63
_cell_angle_gamma 90.00
loop_
_symmetry_equiv_pos_as_xyz
'x,y,z'
'-x,-y,-z'
'-x,y,-z'
'x,-y,z'
'x+1/2,y+1/2,z'
'-x+1/2,-y+1/2,-z'
'-x+1/2,y+1/2,-z'
'x+1/2,-y+1/2,z'
loop_
_atom_site_label
_atom_site_type_symbol
_atom_site_fract_x
_atom_site_fract_y
_atom_site_fract_z
Na1 Na 0.000 0.000 0.000
Na2 Na 0.218 0.500 0.999
Na3 Na 0.219 0.500 0.437
H1 H 0.001 0.224 0.281
H2 H 0.001 0.500 0.388
H3 H 0.112 0.000 0.612
H4 H 0.216 0.276 0.717
Os1 Os 0.000 0.250 0.500
```


(7)
Simulated powder diffraction line list
Compound: NaH8Os2
Radiation: Cu Kα (λ = 1.5418 Å)
Structure: a crystal structure in Alexandria, relaxed with GGA-PBE

Main lines, in order of rising 2θ (2θ = 5–70°):
2θ (°), intensity, hkl
19.8, 100, 0 0 1
21.3, 55, 1 0 0
29.3, 84, 1 0 1
37.3, 79, 1 1 0
40.3, 21, 0 0 2
42.6, 83, 1 1 1
46.0, 15, 1 0 2
48.1, 22, 2 0 1
56.1, 49, 1 1 2
62.5, 20, 2 1 1

```
data_NaH8Os2
_symmetry_space_group_name_H-M 'P 3 1 m'
_symmetry_Int_Tables_number 157
_cell_length_a 4.8159
_cell_length_b 4.8159
_cell_length_c 4.4758
_cell_angle_alpha 90.00
_cell_angle_beta 90.00
_cell_angle_gamma 120.00
loop_
_symmetry_equiv_pos_as_xyz
'x,y,z'
'-y,x-y,z'
'-x+y,-x,z'
'y,x,z'
'x-y,-y,z'
'-x,-x+y,z'
loop_
_atom_site_label
_atom_site_type_symbol
_atom_site_fract_x
_atom_site_fract_y
_atom_site_fract_z
Na1 Na 0.0000 0.0000 0.0000
H1 H 0.0000 0.3072 0.3748
H2 H 0.0000 0.6223 0.7267
H3 H 0.3333 0.6667 0.1461
Os1 Os 0.3333 0.6667 0.5113
```


(8)
Simulated powder diffraction line list
Compound: Rb2NaH6Os
Radiation: Cu Kα (λ = 1.5418 Å)
Structure: a crystal structure in Alexandria, relaxed with GGA-PBE

Main lines, in order of rising 2θ (2θ = 5–70°):
2θ (°), intensity, hkl
15.5, 61, 0 0 1
16.9, 42, 1 0 0
23.0, 86, 0 1 1
29.5, 100, 1 1 0
33.5, 54, 1 1 1
35.7, 68, 0 1 2
37.7, 25, 2 0 1
47.0, 32, 2 0 2
48.6, 23, 1 2 1
56.5, 37, 1 2 2

```
data_Rb2NaH6Os
_symmetry_space_group_name_H-M 'P -3 m 1'
_symmetry_Int_Tables_number 164
_symmetry_space_group_name_Hall '-P 3 2"'
_cell_length_a 6.0553
_cell_length_b 6.0553
_cell_length_c 5.7278
_cell_angle_alpha 90.00
_cell_angle_beta 90.00
_cell_angle_gamma 120.00
loop_
_atom_site_label
_atom_site_type_symbol
_atom_site_fract_x
_atom_site_fract_y
_atom_site_fract_z
Rb1 Rb 0.3333 0.6667 0.1793
Na1 Na 0.0000 0.0000 0.5000
H1 H 0.1352 0.2703 0.8232
Os1 Os 0.0000 0.0000 0.0000
```


(9)
Simulated powder diffraction line list
Compound: Na6PH2
Radiation: Cu Kα (λ = 1.5418 Å)
Structure: a crystal structure in Alexandria, relaxed with GGA-PBE

Main lines, in order of rising 2θ (2θ = 5–70°):
2θ (°), intensity, hkl
14.9, 35, 2 0 -1
20.2, 53, 1 1 0
28.4, 87, 1 1 -2
30.6, 42, 3 1 -2
32.2, 100, 3 1 0
36.7, 75, 0 2 0
38.3, 41, 0 0 3
39.9, 60, 3 1 1
43.9, 56, 5 1 -3
54.1, 28, 0 2 3

```
data_Na6PH2
_symmetry_space_group_name_H-M 'C 1 2/m 1'
_symmetry_Int_Tables_number 12
_cell_length_a 12.127
_cell_length_b 4.894
_cell_length_c 8.450
_cell_angle_alpha 90.00
_cell_angle_beta 123.36
_cell_angle_gamma 90.00
loop_
_symmetry_equiv_pos_as_xyz
'x,y,z'
'-x,-y,-z'
'-x,y,-z'
'x,-y,z'
'x+1/2,y+1/2,z'
'-x+1/2,-y+1/2,-z'
'-x+1/2,y+1/2,-z'
'x+1/2,-y+1/2,z'
loop_
_atom_site_label
_atom_site_type_symbol
_atom_site_fract_x
_atom_site_fract_y
_atom_site_fract_z
Na1 Na 0.031 0.000 0.200
Na2 Na 0.142 0.500 0.564
Na3 Na 0.240 0.500 0.132
P1 P 0.000 0.000 0.500
H1 H 0.173 0.000 0.087
```


(10)
Simulated powder diffraction line list
Compound: Na2PH
Radiation: Cu Kα (λ = 1.5418 Å)
Structure: a crystal structure in Alexandria, relaxed with GGA-PBE

Main lines, in order of rising 2θ (2θ = 5–70°):
2θ (°), intensity, hkl
15.6, 100, 0 2 0
19.1, 82, 0 2 1
30.0, 43, 1 1 2
33.5, 24, 0 4 1
37.1, 31, 2 0 0
37.6, 83, 1 3 2
39.3, 66, 1 1 3
42.1, 18, 2 2 1
49.8, 20, 1 5 2
67.1, 21, 0 4 5

```
data_Na2PH
_symmetry_space_group_name_H-M 'C m c m'
_symmetry_Int_Tables_number 63
_symmetry_space_group_name_Hall '-C 2c 2'
_cell_length_a 4.849
_cell_length_b 11.369
_cell_length_c 8.004
_cell_angle_alpha 90.00
_cell_angle_beta 90.00
_cell_angle_gamma 90.00
loop_
_atom_site_label
_atom_site_type_symbol
_atom_site_fract_x
_atom_site_fract_y
_atom_site_fract_z
Na1 Na 0.000 0.174 0.052
P1 P 0.000 0.319 0.750
H1 H 0.000 0.446 0.750
```


(11)
Simulated powder diffraction line list
Compound: NaP2H6Se
Radiation: Cu Kα (λ = 1.5418 Å)
Structure: a crystal structure in Alexandria, relaxed with GGA-PBE

Main lines, in order of rising 2θ (2θ = 5–70°):
2θ (°), intensity, hkl
14.0, 29, 1 1 0
19.0, 66, 1 1 1
21.9, 27, 0 2 1
25.5, 100, 0 0 2
28.3, 80, 2 2 0
31.1, 99, 2 2 1
38.2, 49, 0 4 1
38.4, 33, 2 2 -2
38.5, 32, 2 2 2
60.1, 24, 4 4 1

```
data_NaP2H6Se
_symmetry_space_group_name_H-M 'C 1 2/c 1'
_symmetry_Int_Tables_number 15
_cell_length_a 8.133
_cell_length_b 9.997
_cell_length_c 6.979
_cell_angle_alpha 90.00
_cell_angle_beta 90.20
_cell_angle_gamma 90.00
loop_
_symmetry_equiv_pos_as_xyz
'x,y,z'
'-x,-y,-z'
'-x,y,-z+1/2'
'x,-y,z+1/2'
'x+1/2,y+1/2,z'
'-x+1/2,-y+1/2,-z'
'-x+1/2,y+1/2,-z+1/2'
'x+1/2,-y+1/2,z+1/2'
loop_
_atom_site_label
_atom_site_type_symbol
_atom_site_fract_x
_atom_site_fract_y
_atom_site_fract_z
Na1 Na 0.000 0.202 0.250
P1 P 0.248 0.036 0.750
H1 H 0.140 0.165 0.750
H2 H 0.154 0.412 0.097
H3 H 0.155 0.412 0.403
Se1 Se 0.000 0.328 0.750
```